(1)
This entry pairs a crystal structure of Nd3Th4Sb8 with its theoretical powder diffractogram. Radiation: λ = 1.5418 Å (Cu Kα). Structure: a cell relaxed with PBE.

Structure:
abc: 8.9987 8.9987 9.0087
angles: 119.82 119.82 90.21
Atoms (fractional coordinates):
1 Nd 0.0000 0.0000 0.0000
2 Nd 0.0000 0.5000 0.0000
3 Nd 0.5000 0.0000 0.0000
4 Th 0.0000 0.0000 0.5000
5 Th 0.0000 0.5000 0.5000
6 Th 0.5000 0.0000 0.5000
7 Th 0.5000 0.5000 0.0000
8 Sb 0.2499 0.7501 0.0000
9 Sb 0.2531 0.2531 0.0028
10 Sb 0.2531 0.7469 0.5000
11 Sb 0.2559 0.2559 0.5020
12 Sb 0.7441 0.7441 0.4980
13 Sb 0.7469 0.2531 0.5000
14 Sb 0.7469 0.7469 0.9972
15 Sb 0.7501 0.2499 0.0000

Most intense lines, 2θ from 15° to 90°, most intense first:
- 28.0°, intensity 100
- 40.0°, intensity 77
- 28.1°, intensity 49
- 49.5°, intensity 42
- 40.1°, intensity 38
- 65.3°, intensity 18
- 65.5°, intensity 18
- 65.7°, intensity 18

(2)
This entry pairs a crystal structure of Th5Mn2In with its theoretical powder diffractogram. Radiation: λ = 1.5418 Å (Cu Kα). Structure: a cell relaxed with PBE.

Structure:
abc: 4.0337 7.1777 14.8104
angles: 90.00 90.00 90.00
Atoms (fractional coordinates):
1 Th 0.0000 0.0000 0.0000
2 Th 0.0000 0.2408 0.3496
3 Th 0.0000 0.2408 0.6504
4 Th 0.0000 0.7592 0.3496
5 Th 0.0000 0.7592 0.6504
6 Th 0.5000 0.2592 0.1504
7 Th 0.5000 0.2592 0.8496
8 Th 0.5000 0.5000 0.5000
9 Th 0.5000 0.7408 0.1504
10 Th 0.5000 0.7408 0.8496
11 Mn 0.0000 0.0000 0.1818
12 Mn 0.0000 0.0000 0.8182
13 Mn 0.5000 0.5000 0.3182
14 Mn 0.5000 0.5000 0.6818
15 In 0.0000 0.5000 0.0000
16 In 0.5000 0.0000 0.5000

Most intense lines, 2θ from 15° to 90°, most intense first:
- 28.6°, intensity 100
- 34.0°, intensity 90
- 34.8°, intensity 55
- 55.3°, intensity 38
- 38.2°, intensity 33
- 36.4°, intensity 31
- 27.6°, intensity 28
- 58.1°, intensity 26

(3)
This entry pairs a crystal structure of Cu2Sn2Se5 with its theoretical powder diffractogram. Radiation: λ = 1.5418 Å (Cu Kα). Structure: a cell relaxed with PBE.

Structure:
abc: 10.3491 10.3491 6.7942
angles: 103.73 103.73 21.75
Atoms (fractional coordinates):
1 Cu 0.1131 0.1131 0.3827
2 Cu 0.8869 0.8869 0.6173
3 Sn 0.4157 0.4157 0.2262
4 Sn 0.5843 0.5843 0.7738
5 Se 0.0000 0.0000 0.5000
6 Se 0.1251 0.1251 0.0423
7 Se 0.3302 0.3302 0.4574
8 Se 0.6698 0.6698 0.5426
9 Se 0.8749 0.8749 0.9577

Most intense lines, 2θ from 15° to 90°, most intense first:
- 31.4°, intensity 100
- 18.0°, intensity 88
- 46.5°, intensity 52
- 26.4°, intensity 28
- 33.5°, intensity 26
- 48.3°, intensity 25
- 36.8°, intensity 25
- 27.5°, intensity 23